Entry 1:
The following is a calculated powder X-ray diffraction pattern of MgMn2O4. It was derived from a PBE+U-relaxed structure, using CuKα.
Intensities are scaled so that the largest is 100.

```
MgMn2O4
1.0
3.062 0.000 0.000
-1.531 2.651 0.000
0.000 0.000 10.036
Mg Mn O
1 2 4
direct
0.000 0.000 0.000 Mg
0.000 0.000 0.269 Mn
0.000 0.000 0.731 Mn
0.333 0.667 0.349 O
0.333 0.667 0.876 O
0.667 0.333 0.124 O
0.667 0.333 0.651 O
```

The 8 most intense peaks (10° ≤ 2θ ≤ 90°), low angle first:
- 17.7 deg, 5.018 Å, intensity 100.0
- 26.6 deg, 3.345 Å, intensity 22.7
- 33.8 deg, 2.651 Å, intensity 69.3
- 38.4 deg, 2.344 Å, intensity 80.3
- 43.6 deg, 2.078 Å, intensity 23.7
- 50.1 deg, 1.822 Å, intensity 90.7
- 60.5 deg, 1.531 Å, intensity 39.2
- 82.2 deg, 1.172 Å, intensity 17.5


Entry 2:
The following is a calculated powder X-ray diffraction pattern of Mn2OF3. It was derived from a PBE+U-relaxed structure, using CuKα.
Intensities are scaled so that the largest is 100.

```
Mn2OF3
1.0
15.853 0.000 0.000
0.000 3.525 3.375
0.000 -3.525 3.375
Mn O F
10 5 15
direct
0.000 0.000 0.000 Mn
0.100 0.464 0.464 Mn
0.199 0.926 0.926 Mn
0.300 0.457 0.457 Mn
0.400 0.991 0.991 Mn
0.500 0.462 0.462 Mn
0.600 0.991 0.991 Mn
0.700 0.457 0.457 Mn
0.801 0.926 0.926 Mn
0.900 0.464 0.464 Mn
0.000 0.299 0.299 O
0.200 0.628 0.628 O
0.400 0.287 0.287 O
0.600 0.287 0.287 O
0.800 0.628 0.628 O
0.000 0.683 0.683 F
0.100 0.167 0.760 F
0.100 0.760 0.167 F
0.199 0.242 0.242 F
0.300 0.160 0.756 F
0.300 0.756 0.160 F
0.404 0.672 0.672 F
0.500 0.173 0.783 F
0.500 0.783 0.173 F
0.596 0.672 0.672 F
0.700 0.160 0.756 F
0.700 0.756 0.160 F
0.801 0.242 0.242 F
0.900 0.167 0.760 F
0.900 0.760 0.167 F
```

The 8 most intense peaks (10° ≤ 2θ ≤ 90°), low angle first:
- 25.3 deg, 3.525 Å, intensity 99.1
- 26.4 deg, 3.375 Å, intensity 93.5
- 33.7 deg, 2.658 Å, intensity 100.0
- 38.2 deg, 2.357 Å, intensity 21.4
- 50.2 deg, 1.818 Å, intensity 66.1
- 51.5 deg, 1.776 Å, intensity 49.2
- 51.9 deg, 1.763 Å, intensity 22.2
- 64.4 deg, 1.446 Å, intensity 51.4


Entry 3:
The following is a calculated powder X-ray diffraction pattern of Li3Mn2C3O9F. It was derived from a PBE+U-relaxed structure, using CuKα.
Intensities are scaled so that the largest is 100.

```
Li3Mn2C3O9F
1.0
3.800 -7.714 0.000
3.800 7.714 0.000
-1.212 0.000 6.366
Li Mn C O F
6 4 6 18 2
direct
0.109 0.875 0.000 Li
0.111 0.889 0.500 Li
0.483 0.811 0.156 Li
0.811 0.483 0.656 Li
0.875 0.109 0.500 Li
0.889 0.111 0.000 Li
0.352 0.373 0.836 Mn
0.373 0.352 0.336 Mn
0.431 0.805 0.650 Mn
0.805 0.431 0.150 Mn
0.105 0.496 0.871 C
0.112 0.495 0.375 C
0.495 0.112 0.875 C
0.496 0.105 0.371 C
0.733 0.737 0.686 C
0.737 0.733 0.186 C
0.030 0.578 0.945 O
0.075 0.602 0.478 O
0.297 0.567 0.378 O
0.301 0.606 0.885 O
0.313 0.997 0.287 O
0.322 0.968 0.769 O
0.556 0.563 0.138 O
0.563 0.556 0.638 O
0.567 0.297 0.878 O
0.578 0.030 0.445 O
0.602 0.075 0.978 O
0.606 0.301 0.385 O
0.730 0.886 0.711 O
0.760 0.896 0.207 O
0.886 0.730 0.211 O
0.896 0.760 0.707 O
0.968 0.322 0.269 O
0.997 0.313 0.787 O
0.175 0.176 0.541 F
0.176 0.175 0.041 F
```

The 8 most intense peaks (10° ≤ 2θ ≤ 90°), low angle first:
- 13.2 deg, 6.720 Å, intensity 100.0
- 17.5 deg, 5.067 Å, intensity 34.1
- 20.8 deg, 4.276 Å, intensity 32.5
- 31.4 deg, 2.852 Å, intensity 31.0
- 33.1 deg, 2.706 Å, intensity 45.2
- 33.4 deg, 2.683 Å, intensity 69.3
- 35.4 deg, 2.534 Å, intensity 40.4
- 42.8 deg, 2.115 Å, intensity 31.5


Entry 4:
The following is a calculated powder X-ray diffraction pattern of Li9Mn2Co5O16. It was derived from a PBE+U-relaxed structure, using CuKα.
Intensities are scaled so that the largest is 100.

```
Li9Mn2Co5O16
1.0
4.981 0.000 0.000
0.155 5.921 0.000
1.850 0.255 9.631
Li Mn Co O
9 2 5 16
direct
0.000 0.000 0.000 Li
0.245 0.001 0.245 Li
0.247 0.497 0.245 Li
0.249 0.758 0.753 Li
0.250 0.243 0.754 Li
0.750 0.757 0.246 Li
0.751 0.242 0.247 Li
0.753 0.503 0.755 Li
0.755 0.999 0.755 Li
0.000 0.500 0.000 Mn
0.500 0.500 0.500 Mn
0.002 0.751 0.499 Co
0.500 0.000 0.500 Co
0.500 0.240 0.000 Co
0.500 0.760 0.000 Co
0.998 0.249 0.501 Co
0.134 0.265 0.112 O
0.136 0.495 0.615 O
0.139 0.729 0.108 O
0.140 0.995 0.616 O
0.360 0.735 0.383 O
0.362 0.226 0.384 O
0.365 0.485 0.889 O
0.395 0.989 0.887 O
0.605 0.011 0.113 O
0.635 0.515 0.111 O
0.638 0.774 0.616 O
0.640 0.265 0.617 O
0.860 0.005 0.384 O
0.861 0.271 0.892 O
0.864 0.505 0.385 O
0.866 0.735 0.888 O
```

The 8 most intense peaks (10° ≤ 2θ ≤ 90°), low angle first:
- 18.4 deg, 4.816 Å, intensity 100.0
- 35.2 deg, 2.548 Å, intensity 16.8
- 36.3 deg, 2.473 Å, intensity 12.4
- 36.8 deg, 2.445 Å, intensity 11.9
- 42.5 deg, 2.129 Å, intensity 30.8
- 44.1 deg, 2.052 Å, intensity 26.6
- 44.6 deg, 2.032 Å, intensity 25.9
- 63.0 deg, 1.476 Å, intensity 15.2